The following is a calculated powder X-ray diffraction pattern of Li2Mn3P4O14. It was derived from a structure optimized by DFT (PBE+U), using λ = 1.5418 Å (Cu Kα).

Most intense lines, 2θ = 15–90°, low angle first:
- 17.5 deg, 5.057 Å, I = 85.8, (0 1 2)
- 22.7 deg, 3.920 Å, I = 100.0, (0 1 3)
- 22.9 deg, 3.885 Å, I = 91.4, (1 0 -3)
- 25.7 deg, 3.469 Å, I = 47.3, (0 0 4)
- 27.8 deg, 3.204 Å, I = 50.0, (1 2 0)
- 30.3 deg, 2.953 Å, I = 46.8, (2 1 0)

Cell and atoms:
a b c (Å): 6.457 7.388 13.906
angles (deg): 90.00 93.87 90.00
Space group P2_1 (No. 4)
Asymmetric unit:
Li 0.014 0.000 0.433
Li 0.432 0.367 0.951
Mn 0.170 0.694 0.901
Mn 0.270 0.556 0.275
Mn 0.453 0.532 0.612
P 0.103 0.870 0.109
P 0.125 0.869 0.675
P 0.350 0.161 0.583
P 0.362 0.189 0.173
O 0.065 0.462 0.374
O 0.112 0.853 0.784
O 0.125 0.384 0.927
O 0.149 0.782 0.206
O 0.150 0.092 0.124
O 0.181 0.693 0.624
O 0.211 0.326 0.595
O 0.252 0.808 0.034
O 0.310 0.066 0.485
O 0.320 0.010 0.666
O 0.340 0.391 0.154
O 0.368 0.146 0.280
O 0.423 0.717 0.391
O 0.468 0.598 0.882

The following is a calculated powder X-ray diffraction pattern of Li2MnP2O8. It was derived from a structure optimized by DFT (PBE+U), using λ = 1.5418 Å (Cu Kα).

Most intense lines, 2θ = 15–90°, low angle first:
- 16.3 deg, 5.431 Å, I = 100.0, (0 1 1)
- 21.9 deg, 4.051 Å, I = 33.7, (1 0 -2)
- 23.5 deg, 3.787 Å, I = 58.5, (1 1 0)
- 24.7 deg, 3.598 Å, I = 48.7, (1 1 -2)
- 26.2 deg, 3.399 Å, I = 34.1, (0 1 2)
- 30.8 deg, 2.902 Å, I = 47.9, (1 2 0)

Cell and atoms:
a b c (Å): 5.038 7.823 8.786
angles (deg): 90.00 120.80 90.00
Space group P2_1/c (No. 14)
Asymmetric unit:
Li 0.000 0.136 0.094
Mn 0.000 0.000 0.500
P 0.338 0.689 0.801
O 0.204 0.625 0.244
O 0.211 0.568 0.648
O 0.259 0.641 0.947
O 0.300 0.193 0.600

The following is a calculated powder X-ray diffraction pattern of LiMn3P6O20. It was derived from a structure optimized by DFT (PBE+U), using λ = 1.5418 Å (Cu Kα).

Most intense lines, 2θ = 15–90°, low angle first:
- 18.4 deg, 4.826 Å, I = 48.0, (1 1 2)
- 21.9 deg, 4.053 Å, I = 100.0, (2 2 0)
- 23.0 deg, 3.860 Å, I = 39.3, (1 3 1)
- 23.2 deg, 3.841 Å, I = 33.9, (2 2 1)
- 29.7 deg, 3.003 Å, I = 26.8, (0 0 4)
- 32.9 deg, 2.719 Å, I = 24.8, (2 4 1)

Cell and atoms:
a b c (Å): 10.210 13.336 12.013
angles (deg): 90.00 90.00 90.00
Space group C222_1 (No. 20)
Asymmetric unit:
Li 0.069 0.000 0.000
Mn 0.000 0.206 0.750
Mn 0.000 0.262 0.250
Mn 0.141 0.500 0.500
P 0.056 0.292 0.987
P 0.231 0.363 0.820
P 0.247 0.063 0.777
O 0.028 0.201 0.911
O 0.038 0.376 0.526
O 0.081 0.253 0.105
O 0.124 0.147 0.302
O 0.127 0.104 0.716
O 0.137 0.308 0.743
O 0.141 0.366 0.298
O 0.195 0.481 0.813
O 0.200 0.335 0.947
O 0.207 0.007 0.883

The following is a calculated powder X-ray diffraction pattern of LiMn2P2O8. It was derived from a structure optimized by DFT (PBE+U), using λ = 1.5418 Å (Cu Kα).

Most intense lines, 2θ = 15–90°, low angle first:
- 21.2 deg, 4.182 Å, I = 49.5, (1 0 1)
- 22.5 deg, 3.953 Å, I = 30.2, (1 1 -1)
- 26.2 deg, 3.403 Å, I = 32.5, (0 1 2)
- 27.1 deg, 3.295 Å, I = 49.8, (0 2 -2)
- 29.2 deg, 3.063 Å, I = 100.0, (1 2 -1)
- 32.6 deg, 2.745 Å, I = 34.2, (-1 2 1)

Cell and atoms:
a b c (Å): 4.899 8.053 8.745
angles (deg): 103.85 91.56 90.36
Space group P1 (No. 1)
Asymmetric unit:
Li 0.000 0.000 0.000
Li 0.015 0.508 0.629
Mn 0.008 0.108 0.394
Mn 0.124 0.605 0.305
Mn 0.526 0.151 0.746
Mn 0.589 0.663 0.842
P 0.008 0.369 0.938
P 0.456 0.917 0.188
P 0.478 0.380 0.491
P 0.999 0.878 0.641
O 0.265 0.075 0.221
O 0.295 0.931 0.683
O 0.311 0.335 0.904
O 0.321 0.222 0.533
O 0.350 0.417 0.342
O 0.374 0.794 0.291
O 0.410 0.837 0.011
O 0.426 0.531 0.632
O 0.762 0.971 0.221
O 0.783 0.336 0.472
O 0.843 0.020 0.578
O 0.849 0.198 0.918
O 0.859 0.844 0.787
O 0.882 0.475 0.826
O 0.973 0.479 0.109
O 0.978 0.705 0.511